Record 1
Zn4In2Ga5: computed X-ray powder pattern (λ = 1.5418 Å (Cu Kα)), based on a cell relaxed with GGA-PBE.

The 10 most intense peaks (10 to 90 degrees two-theta), sorted by position:
d [Å]  2θ (°)  I (rel.)
2.988  29.90  45
2.749  32.57  28
2.612  34.33  98
2.604  34.44  75
2.438  36.87  26
2.301  39.14  100
2.292  39.30  74
2.222  40.61  54
2.114  42.78  57
2.014  45.01  47

Structural model:
a b c (Å): 5.373 6.518 6.707
angles (deg): 96.18 111.09 100.25
Element x y z (fractional)
Zn  0.083  0.395  0.163
Zn  0.193  0.152  0.477
Zn  0.807  0.848  0.523
Zn  0.917  0.605  0.837
In  0.312  0.663  0.599
In  0.688  0.337  0.401
Ga  0.227  0.076  0.889
Ga  0.304  0.839  0.210
Ga  0.500  0.500  0.000
Ga  0.696  0.161  0.790
Ga  0.773  0.924  0.111


Record 2
Zr4In5Ga2: computed X-ray powder pattern (λ = 1.5418 Å (Cu Kα)), based on a cell relaxed with GGA-PBE.

The 10 most intense peaks (10 to 90 degrees two-theta), sorted by position:
d [Å]  2θ (°)  I (rel.)
2.873  31.13  35
2.552  35.16  100
2.543  35.29  34
2.507  35.82  58
2.485  36.14  70
2.456  36.59  58
2.363  38.08  64
2.351  38.28  46
2.342  38.44  56
2.232  40.42  32

Structural model:
a b c (Å): 7.653 3.209 9.628
angles (deg): 90.00 94.43 90.00
Element x y z (fractional)
Zr  0.177  0.000  0.372
Zr  0.257  0.000  0.942
Zr  0.743  0.000  0.058
Zr  0.823  0.000  0.628
In  0.177  0.500  0.655
In  0.445  0.500  0.189
In  0.500  0.500  0.500
In  0.555  0.500  0.811
In  0.823  0.500  0.345
Ga  0.063  0.500  0.131
Ga  0.937  0.500  0.869


Record 3
ZrIn3Ga: computed X-ray powder pattern (λ = 1.5418 Å (Cu Kα)), based on a cell relaxed with GGA-PBE.

The 10 most intense peaks (10 to 90 degrees two-theta), sorted by position:
d [Å]  2θ (°)  I (rel.)
5.615  15.78  39
3.242  27.51  80
2.808  31.87  100
2.511  35.75  20
1.985  45.70  72
1.693  54.17  35
1.621  56.79  25
1.288  73.51  14
1.256  75.75  31
1.146  84.53  23

Structural model:
a b c (Å): 5.615 5.615 5.615
angles (deg): 90.00 90.00 90.00
Element x y z (fractional)
Zr  0.000  0.000  0.000
In  0.000  0.000  0.500
In  0.000  0.500  0.000
In  0.500  0.000  0.000
Ga  0.500  0.500  0.500


Record 4
Zr4InGa2: computed X-ray powder pattern (λ = 1.5418 Å (Cu Kα)), based on a cell relaxed with GGA-PBE.

The 10 most intense peaks (10 to 90 degrees two-theta), sorted by position:
d [Å]  2θ (°)  I (rel.)
2.675  33.51  100
2.665  33.63  57
2.259  39.90  85
2.255  39.99  19
1.801  50.69  15
1.726  53.07  12
1.658  55.42  18
1.372  68.39  24
1.337  70.41  13
1.302  72.59  13

Structural model:
a b c (Å): 7.316 7.316 7.316
angles (deg): 109.35 109.35 109.70
Element x y z (fractional)
Zr  0.108  0.510  0.744
Zr  0.114  0.016  0.756
Zr  0.260  0.358  0.244
Zr  0.490  0.234  0.597
Zr  0.636  0.892  0.403
Zr  0.642  0.886  0.903
Zr  0.766  0.364  0.256
Zr  0.984  0.740  0.097
In  0.250  0.750  0.500
In  0.500  0.500  0.000
Ga  0.010  0.125  0.385
Ga  0.375  0.990  0.115
Ga  0.740  0.625  0.615
Ga  0.875  0.260  0.885


Record 5
Zr5In2Ga2: computed X-ray powder pattern (λ = 1.5418 Å (Cu Kα)), based on a cell relaxed with GGA-PBE.

The 10 most intense peaks (10 to 90 degrees two-theta), sorted by position:
d [Å]  2θ (°)  I (rel.)
2.719  32.94  65
2.603  34.45  89
2.589  34.65  100
2.581  34.75  95
2.537  35.39  41
2.441  36.81  73
2.304  39.09  47
2.294  39.28  47
1.815  50.27  39
1.490  62.34  35

Structural model:
a b c (Å): 8.147 8.147 7.341
angles (deg): 90.00 90.00 53.90
Element x y z (fractional)
Zr  0.000  0.000  0.000
Zr  0.060  0.690  0.683
Zr  0.190  0.560  0.183
Zr  0.310  0.940  0.683
Zr  0.440  0.810  0.183
Zr  0.500  0.500  0.500
Zr  0.560  0.190  0.817
Zr  0.690  0.060  0.317
Zr  0.810  0.440  0.817
Zr  0.940  0.310  0.317
In  0.220  0.220  0.000
In  0.280  0.280  0.500
In  0.720  0.720  0.500
In  0.780  0.780  0.000
Ga  0.120  0.880  0.378
Ga  0.380  0.620  0.878
Ga  0.620  0.380  0.122
Ga  0.880  0.120  0.622


Record 6
Ga2Ir: computed X-ray powder pattern (λ = 1.5418 Å (Cu Kα)), based on a cell relaxed with GGA-PBE.

The 10 most intense peaks (10 to 90 degrees two-theta), sorted by position:
d [Å]  2θ (°)  I (rel.)
4.025  22.08  18
3.077  29.02  33
2.355  38.22  71
2.089  43.30  100
2.033  44.58  12
1.665  55.16  24
1.464  63.53  8
1.302  72.60  43
1.177  81.80  8
1.166  82.80  15

Structural model:
a b c (Å): 4.663 4.663 4.663
angles (deg): 138.16 138.16 60.66
Element x y z (fractional)
Ga  0.164  0.164  0.000
Ga  0.836  0.836  0.000
Ir  0.500  0.500  0.000


Record 7
GaIr3: computed X-ray powder pattern (λ = 1.5418 Å (Cu Kα)), based on a cell relaxed with GGA-PBE.

The 10 most intense peaks (10 to 90 degrees two-theta), sorted by position:
d [Å]  2θ (°)  I (rel.)
3.788  23.49  3
3.481  25.59  11
2.236  40.33  100
1.959  46.34  34
1.894  48.04  15
1.385  67.62  11
1.362  68.96  21
1.178  81.77  26
1.149  84.29  12
1.118  87.17  11

Structural model:
a b c (Å): 4.693 4.693 4.693
angles (deg): 130.65 130.65 72.37
Element x y z (fractional)
Ga  0.000  0.000  0.000
Ir  0.250  0.750  0.500
Ir  0.500  0.500  0.000
Ir  0.750  0.250  0.500


Record 8
Ga5Ir3: computed X-ray powder pattern (λ = 1.5418 Å (Cu Kα)), based on a cell relaxed with GGA-PBE.

The 10 most intense peaks (10 to 90 degrees two-theta), sorted by position:
d [Å]  2θ (°)  I (rel.)
3.714  23.96  58
2.942  30.39  25
2.470  36.37  18
2.364  38.06  19
2.306  39.06  100
2.080  43.51  35
2.075  43.62  58
1.815  50.28  39
1.469  63.29  29
1.316  71.75  16

Structural model:
a b c (Å): 5.883 5.883 14.365
angles (deg): 90.00 90.00 90.00
Element x y z (fractional)
Ga  0.149  0.271  0.447
Ga  0.155  0.808  0.153
Ga  0.169  0.669  0.750
Ga  0.192  0.155  0.847
Ga  0.229  0.351  0.053
Ga  0.271  0.851  0.553
Ga  0.308  0.655  0.347
Ga  0.331  0.169  0.250
Ga  0.345  0.308  0.653
Ga  0.351  0.771  0.947
Ga  0.649  0.229  0.947
Ga  0.655  0.692  0.653
Ga  0.669  0.831  0.250
Ga  0.692  0.345  0.347
Ga  0.729  0.149  0.553
Ga  0.771  0.649  0.053
Ga  0.808  0.845  0.847
Ga  0.831  0.331  0.750
Ga  0.845  0.192  0.153
Ga  0.851  0.729  0.447
Ir  0.000  0.000  0.000
Ir  0.000  0.000  0.328
Ir  0.000  0.000  0.672
Ir  0.000  0.500  0.250
Ir  0.000  0.500  0.586
Ir  0.000  0.500  0.914
Ir  0.500  0.000  0.086
Ir  0.500  0.000  0.414
Ir  0.500  0.000  0.750
Ir  0.500  0.500  0.172
Ir  0.500  0.500  0.500
Ir  0.500  0.500  0.828


Record 9
Ga4Ir: computed X-ray powder pattern (λ = 1.5418 Å (Cu Kα)), based on a cell relaxed with GGA-PBE.

The 10 most intense peaks (10 to 90 degrees two-theta), sorted by position:
d [Å]  2θ (°)  I (rel.)
5.544  15.99  45
5.114  17.34  100
3.111  28.69  59
2.557  35.09  38
2.529  35.49  21
2.243  40.20  92
1.998  45.40  68
1.990  45.59  47
1.979  45.86  45
1.893  48.06  22

Structural model:
a b c (Å): 6.409 6.409 5.646
angles (deg): 102.88 102.88 119.75
Element x y z (fractional)
Ga  0.087  0.368  0.867
Ga  0.088  0.359  0.352
Ga  0.359  0.088  0.852
Ga  0.368  0.087  0.367
Ga  0.632  0.913  0.633
Ga  0.641  0.912  0.148
Ga  0.912  0.641  0.648
Ga  0.913  0.632  0.133
Ir  0.488  0.512  0.750
Ir  0.512  0.488  0.250


Record 10
Ga2Ir: computed X-ray powder pattern (λ = 1.5418 Å (Cu Kα)), based on a cell relaxed with GGA-PBE.

The 10 most intense peaks (10 to 90 degrees two-theta), sorted by position:
d [Å]  2θ (°)  I (rel.)
3.912  22.73  100
2.915  30.67  37
2.129  42.46  59
2.121  42.63  24
2.113  42.80  57
2.062  43.92  54
1.834  49.71  13
1.237  77.13  20
1.206  79.49  18
1.197  80.18  18

Structural model:
a b c (Å): 6.844 6.844 5.790
angles (deg): 90.00 90.00 50.82
Element x y z (fractional)
Ga  0.000  0.500  0.250
Ga  0.000  0.500  0.750
Ga  0.247  0.753  0.753
Ga  0.253  0.747  0.253
Ga  0.500  0.000  0.250
Ga  0.500  0.000  0.750
Ga  0.747  0.253  0.747
Ga  0.753  0.247  0.247
Ir  0.120  0.120  0.500
Ir  0.380  0.380  0.000
Ir  0.620  0.620  0.000
Ir  0.880  0.880  0.500


Record 11
Ga2Ir: computed X-ray powder pattern (λ = 1.5418 Å (Cu Kα)), based on a cell relaxed with GGA-PBE.

The 10 most intense peaks (10 to 90 degrees two-theta), sorted by position:
d [Å]  2θ (°)  I (rel.)
3.575  24.91  53
3.276  27.22  31
3.195  27.92  26
2.221  40.61  92
2.184  41.34  20
2.142  42.19  100
2.003  45.27  56
1.975  45.96  44
1.876  48.54  28
1.274  74.47  23

Structural model:
a b c (Å): 6.844 6.844 10.980
angles (deg): 90.00 90.00 146.46
Element x y z (fractional)
Ga  0.040  0.960  0.750
Ga  0.179  0.821  0.017
Ga  0.179  0.821  0.483
Ga  0.233  0.767  0.750
Ga  0.441  0.559  0.606
Ga  0.441  0.559  0.894
Ga  0.559  0.441  0.106
Ga  0.559  0.441  0.394
Ga  0.767  0.233  0.250
Ga  0.821  0.179  0.517
Ga  0.821  0.179  0.983
Ga  0.960  0.040  0.250
Ir  0.150  0.850  0.250
Ir  0.360  0.640  0.122
Ir  0.360  0.640  0.378
Ir  0.640  0.360  0.622
Ir  0.640  0.360  0.878
Ir  0.850  0.150  0.750


Record 12
Ga6Ir: computed X-ray powder pattern (λ = 1.5418 Å (Cu Kα)), based on a cell relaxed with GGA-PBE.

The 10 most intense peaks (10 to 90 degrees two-theta), sorted by position:
d [Å]  2θ (°)  I (rel.)
5.107  17.36  52
3.417  26.07  43
2.629  34.11  27
2.332  38.62  27
2.299  39.18  26
2.273  39.64  64
2.232  40.40  100
2.226  40.52  33
2.097  43.15  41
2.053  44.11  81

Structural model:
a b c (Å): 5.107 5.107 9.198
angles (deg): 90.00 90.00 89.33
Element x y z (fractional)
Ga  0.016  0.627  0.250
Ga  0.160  0.840  0.594
Ga  0.160  0.840  0.906
Ga  0.307  0.307  0.000
Ga  0.307  0.307  0.500
Ga  0.373  0.984  0.250
Ga  0.627  0.016  0.750
Ga  0.693  0.693  0.000
Ga  0.693  0.693  0.500
Ga  0.840  0.160  0.094
Ga  0.840  0.160  0.406
Ga  0.984  0.373  0.750
Ir  0.481  0.519  0.750
Ir  0.519  0.481  0.250